Computed powder diffraction line list
Compound: Sm6Y2Th3
Radiation: Cu Kα (weighted mean of Kα1 and Kα2)
Structure: a cell relaxed with GGA-PBE

Cell and atoms:
Cell lengths 3.6044, 3.6044, 96.8472 Å; angles 90.00, 90.00, 120.00 degrees
Space group R-3m (No. 166, hexagonal axes)
Symmetry-distinct sites (fractional):
Sm: 0.0000 0.0000 0.0899 [6 per cell]
Sm: 0.0000 0.0000 0.1821 [6 per cell]
Sm: 0.0000 0.0000 0.3634 [6 per cell]
Y: 0.0000 0.0000 0.4544 [6 per cell]
Th: 0.0000 0.0000 0.0000 [3 per cell]
Th: 0.0000 0.0000 0.2730 [6 per cell]

Principal peaks in the range 10° ≤ 2θ ≤ 90°, sorted by position:
2θ 30.40, intensity 100, hkl 0 1 11; 2θ 35.25, intensity 51, hkl 1 0 22; 2θ 50.65, intensity 19, hkl 1 1 0; 2θ 50.75, intensity 18, hkl 0 1 44; 2θ 60.25, intensity 33, hkl 2 0 11; 2θ 60.35, intensity 11, hkl 1 0 55; 2θ 63.21, intensity 10, hkl 0 2 22; 2θ 82.49, intensity 9, hkl 1 2 11; 2θ 85.14, intensity 8, hkl 2 1 22; 2θ 85.30, intensity 8, hkl 1 1 66